Entry 1:
Starting from a structure optimized by DFT (GGA-PBE), the powder XRD pattern of Li8Ca3 was computed for a wavelength of 1.5418 Å.
Peak positions follow from Bragg's law for the DFT cell and can differ from measured ones.

Top 10 peaks for 2θ = 10–90°, by angle:
2θ (°)	I (rel.)
16.77	42
18.97	100
22.43	24
24.66	26
30.50	22
31.56	54
32.07	95
34.38	28
35.57	45
47.36	32

Crystal structure
Lattice parameters (Å, degrees): 3.6342 5.2174 31.7158 90.00 90.00 90.00
Space group Immm (No. 71)
Asymmetric unit:
Li 0.0000 0.0000 0.0474 (multiplicity 4)
Li 0.0000 0.0000 0.2393 (multiplicity 4)
Li 0.0000 0.5000 0.0943 (multiplicity 4)
Li 0.0000 0.5000 0.1876 (multiplicity 4)
Ca 0.0000 0.0000 0.5000 (multiplicity 2)
Ca 0.0000 0.5000 0.3573 (multiplicity 4)


Entry 2:
Starting from a structure optimized by DFT (GGA-PBE), the powder XRD pattern of GaF was computed for a wavelength of 1.5418 Å.
Peak positions follow from Bragg's law for the DFT cell and can differ from measured ones.

Top 10 peaks for 2θ = 10–90°, by angle:
2θ (°)	I (rel.)
10.66	18
18.51	85
31.98	100
32.35	61
37.53	14
46.13	53
57.47	41
57.70	14
63.59	17
76.86	11

Crystal structure
Lattice parameters (Å, degrees): 9.5860 9.5860 3.4476 90.00 90.00 120.00
Space group P6_3/m (No. 176)
Asymmetric unit:
Ga 0.0184 0.6680 0.2500 (multiplicity 6)
F 0.1077 0.5045 0.2500 (multiplicity 6)


Entry 3:
Starting from a structure optimized by DFT (GGA-PBE), the powder XRD pattern of Na3Tl2Sn6 was computed for a wavelength of 1.5418 Å.
Peak positions follow from Bragg's law for the DFT cell and can differ from measured ones.

Top 10 peaks for 2θ = 10–90°, by angle:
2θ (°)	I (rel.)
23.51	24
26.88	89
31.26	58
35.25	36
36.01	100
45.15	22
47.82	36
55.64	27
63.75	20
67.60	31

Crystal structure
Lattice parameters (Å, degrees): 8.7407 8.7407 5.0927 90.00 90.00 120.00
Space group P-62m (No. 189)
Asymmetric unit:
Na 0.0000 0.5596 0.0000 (multiplicity 3)
Tl 0.3333 0.6667 0.5000 (multiplicity 2)
Sn 0.0000 0.2150 0.0000 (multiplicity 3)
Sn 0.0000 0.7823 0.5000 (multiplicity 3)


Entry 4:
Starting from a structure optimized by DFT (GGA-PBE), the powder XRD pattern of Ba2In6Sn3 was computed for a wavelength of 1.5418 Å.
Peak positions follow from Bragg's law for the DFT cell and can differ from measured ones.

Top 10 peaks for 2θ = 10–90°, by angle:
2θ (°)	I (rel.)
26.60	100
29.83	28
33.94	34
35.07	96
36.50	36
41.07	23
50.70	22
56.10	18
56.40	23
64.78	16

Crystal structure
Lattice parameters (Å, degrees): 9.1492 9.1492 4.9230 90.00 90.00 120.00
Space group P-62m (No. 189)
Asymmetric unit:
Ba 0.3333 0.6667 0.0000 (multiplicity 2)
In 0.0000 0.2833 0.5000 (multiplicity 3)
In 0.0000 0.8063 0.0000 (multiplicity 3)
Sn 0.0000 0.6102 0.5000 (multiplicity 3)


Entry 5:
Starting from a structure optimized by DFT (GGA-PBE), the powder XRD pattern of CsTbMnTe3 was computed for a wavelength of 1.5418 Å.
Peak positions follow from Bragg's law for the DFT cell and can differ from measured ones.

Top 10 peaks for 2θ = 10–90°, by angle:
2θ (°)	I (rel.)
10.06	47
26.25	100
27.09	25
31.07	17
31.47	11
32.72	13
38.83	25
39.81	22
43.51	21
47.60	14

Crystal structure
Lattice parameters (Å, degrees): 10.3235 4.5285 10.9583 90.00 111.82 90.00
Space group P2_1/m (No. 11)
Asymmetric unit:
Cs 0.2160 0.2500 0.2449 (multiplicity 2)
Tb 0.3311 0.7500 0.8626 (multiplicity 2)
Mn 0.0848 0.2500 0.6087 (multiplicity 2)
Te 0.1202 0.2500 0.8628 (multiplicity 2)
Te 0.2022 0.7500 0.5443 (multiplicity 2)
Te 0.4753 0.7500 0.1622 (multiplicity 2)


Entry 6:
Starting from a structure optimized by DFT (GGA-PBE), the powder XRD pattern of Nd5Sm2 was computed for a wavelength of 1.5418 Å.
Peak positions follow from Bragg's law for the DFT cell and can differ from measured ones.

Top 10 peaks for 2θ = 10–90°, by angle:
2θ (°)	I (rel.)
29.84	100
34.56	34
34.65	17
49.72	36
59.03	29
59.15	14
61.98	12
80.73	9
80.80	9
83.26	11

Crystal structure
Lattice parameters (Å, degrees): 11.6001 5.1918 8.1895 90.00 98.03 90.00
Space group C2/m (No. 12)
Asymmetric unit:
Nd 0.0000 0.0000 0.0000 (multiplicity 2)
Nd 0.0714 0.5000 0.7157 (multiplicity 4)
Nd 0.1431 0.0000 0.4289 (multiplicity 4)
Sm 0.2145 0.5000 0.1424 (multiplicity 4)